Structure and simulated XRD peak list of CeCo2IrO8 (a cell relaxed with GGA+U; λ = 1.5418 Å (Cu Kα)).
No peak broadening, texture or thermal motion is included.

Peak list (10 most intense, 10° ≤ 2θ ≤ 80°, most intense first)
hkl  2theta  d [Å]  I/Imax
1 1 2  30.38  2.942  100.0
1 0 1  19.51  4.551  33.7
2 0 4  50.55  1.806  31.6
1 3 2  60.43  1.532  28.5
2 0 0  35.37  2.538  19.8
2 2 0  50.89  1.794  15.9
1 1 6  59.83  1.546  14.7
2 1 1  40.71  2.216  10.8
0 0 4  34.92  2.569  10.7
2 2 4  63.21  1.471  9.9

Crystal structure
```
data_CeCo2IrO8
_cell_length_a 5.0754
_cell_length_b 5.0754
_cell_length_c 10.2772
_cell_angle_alpha 90.00
_cell_angle_beta 90.00
_cell_angle_gamma 90.00
_space_group_name_H-M_alt 'I -4'
_space_group_IT_number 82
loop_
_space_group_symop_operation_xyz
'x,y,z'
'y,-x,-z'
'-x,-y,z'
'-y,x,-z'
'x+1/2,y+1/2,z+1/2'
'y+1/2,-x+1/2,-z+1/2'
'-x+1/2,-y+1/2,z+1/2'
'-y+1/2,x+1/2,-z+1/2'
loop_
_atom_site_label
_atom_site_type_symbol
_atom_site_fract_x
_atom_site_fract_y
_atom_site_fract_z
_atom_site_occupancy
Ce1 Ce 0.0000 0.0000 0.0000 1
Co1 Co 0.0000 0.0000 0.5000 1
Co2 Co 0.0000 0.5000 0.7500 1
Ir1 Ir 0.0000 0.5000 0.2500 1
O1 O 0.1609 0.2920 0.3961 1
O2 O 0.2080 0.7487 0.8387 1
```